# 1
Calculated powder X-ray diffraction pattern
Compound: CaOsCl2
Radiation: λ = 1.5418 Å (Cu Kα)
Structure: a crystal structure in Alexandria, relaxed with PBE

Principal peaks in the range 15° ≤ 2θ ≤ 90°, in order of falling intensity:
d [Å]  2θ (°)  I (rel.)  (hkl)
2.536  35.40  100.0  1 1 -1
5.117  17.33  51.9  0 0 1
2.081  43.48  44.7  1 1 1
2.559  35.07  41.7  0 0 2
4.056  21.91  35.5  1 0 0
4.038  22.01  30.2  1 0 -1
2.748  32.59  27.6  0 1 1
2.028  44.68  20.6  2 0 0
2.019  44.90  20.3  2 0 -2
1.610  57.23  19.3  1 1 -3

Crystal structure
```
data_CaOsCl2
_symmetry_space_group_name_H-M 'P 1 2/m 1'
_symmetry_Int_Tables_number 10
_symmetry_space_group_name_Hall '-P 2y'
_cell_length_a 4.406
_cell_length_b 3.257
_cell_length_c 5.559
_cell_angle_alpha 90.00
_cell_angle_beta 112.99
_cell_angle_gamma 90.00
loop_
_atom_site_label
_atom_site_type_symbol
_atom_site_fract_x
_atom_site_fract_y
_atom_site_fract_z
_atom_site_occupancy
Ca1 Ca 0.000 0.000 0.000 1
Os1 Os 0.000 0.500 0.500 1
Cl1 Cl 0.500 0.000 0.500 1
Cl2 Cl 0.500 0.500 0.000 1
```


# 2
Calculated powder X-ray diffraction pattern
Compound: Ca8P5Cl
Radiation: λ = 1.5418 Å (Cu Kα)
Structure: a crystal structure in Alexandria, relaxed with PBE

Principal peaks in the range 15° ≤ 2θ ≤ 90°, in order of falling intensity:
d [Å]  2θ (°)  I (rel.)  (hkl)
2.774  32.27  100.0  3 1 0
2.344  38.40  57.9  2 3 1
1.720  53.25  23.3  4 3 1
1.423  65.61  18.6  6 1 1
1.791  51.01  12.9  2 2 4
1.194  80.46  12.8  1 2 7
1.354  69.44  10.1  4 1 5
3.101  28.79  9.2  2 0 2
1.387  67.54  8.6  6 0 2
1.870  48.69  8.3  3 2 3

Crystal structure
```
data_Ca8P5Cl
_symmetry_space_group_name_H-M 'I -4'
_symmetry_Int_Tables_number 82
_symmetry_space_group_name_Hall 'I -4'
_cell_length_a 8.772
_cell_length_b 8.772
_cell_length_c 8.772
_cell_angle_alpha 90.00
_cell_angle_beta 90.00
_cell_angle_gamma 90.00
loop_
_atom_site_label
_atom_site_type_symbol
_atom_site_fract_x
_atom_site_fract_y
_atom_site_fract_z
_atom_site_occupancy
Ca1 Ca 0.069 0.173 0.192 1
Ca2 Ca 0.070 0.309 0.572 1
P1 P 0.000 0.000 0.500 1
P2 P 0.134 0.249 0.882 1
Cl1 Cl 0.000 0.500 0.250 1
```


# 3
Calculated powder X-ray diffraction pattern
Compound: CaP2PtCl
Radiation: λ = 1.5418 Å (Cu Kα)
Structure: a crystal structure in Alexandria, relaxed with PBE

Principal peaks in the range 15° ≤ 2θ ≤ 90°, in order of falling intensity:
d [Å]  2θ (°)  I (rel.)  (hkl)
3.657  24.34  100.0  1 0 1
4.506  19.70  73.5  1 0 0
3.130  28.52  48.9  0 0 2
3.187  28.00  39.4  1 1 0
1.829  49.87  39.4  2 0 2
2.253  40.01  38.0  2 0 0
2.571  34.90  35.1  1 0 2
1.918  47.39  34.8  2 1 1
2.233  40.39  29.8  1 1 2
1.695  54.12  20.3  2 1 2

Crystal structure
```
data_CaP2PtCl
_symmetry_space_group_name_H-M 'P 4/m m m'
_symmetry_Int_Tables_number 123
_symmetry_space_group_name_Hall '-P 4 2'
_cell_length_a 4.506
_cell_length_b 4.506
_cell_length_c 6.260
_cell_angle_alpha 90.00
_cell_angle_beta 90.00
_cell_angle_gamma 90.00
loop_
_atom_site_label
_atom_site_type_symbol
_atom_site_fract_x
_atom_site_fract_y
_atom_site_fract_z
_atom_site_occupancy
Ca1 Ca 0.000 0.000 0.000 1
P1 P 0.000 0.500 0.500 1
Pt1 Pt 0.500 0.500 0.500 1
Cl1 Cl 0.500 0.500 0.000 1
```


# 4
Calculated powder X-ray diffraction pattern
Compound: SrCaPbCl6
Radiation: λ = 1.5418 Å (Cu Kα)
Structure: a crystal structure in Alexandria, relaxed with PBE

Principal peaks in the range 15° ≤ 2θ ≤ 90°, in order of falling intensity:
d [Å]  2θ (°)  I (rel.)  (hkl)
4.718  18.81  100.0  1 1 0
2.468  36.40  89.0  2 1 3
3.668  24.27  56.1  1 0 3
1.984  45.73  39.2  3 0 3
2.359  38.15  27.4  2 2 0
3.214  27.75  23.2  1 1 3
2.195  41.13  20.3  0 0 6
2.979  29.99  20.2  2 0 2
2.910  30.72  20.0  2 1 1
1.990  45.57  19.9  1 1 6

Crystal structure
```
data_SrCaPbCl6
_symmetry_space_group_name_H-M 'P 42 n m'
_symmetry_Int_Tables_number 102
_symmetry_space_group_name_Hall 'P 4n -2n'
_cell_length_a 6.672
_cell_length_b 6.672
_cell_length_c 13.172
_cell_angle_alpha 90.00
_cell_angle_beta 90.00
_cell_angle_gamma 90.00
loop_
_atom_site_label
_atom_site_type_symbol
_atom_site_fract_x
_atom_site_fract_y
_atom_site_fract_z
_atom_site_occupancy
Sr1 Sr 0.000 0.000 0.000 1
Ca1 Ca 0.000 0.000 0.666 1
Pb1 Pb 0.000 0.000 0.332 1
Cl1 Cl 0.191 0.191 0.507 1
Cl2 Cl 0.191 0.191 0.826 1
Cl3 Cl 0.205 0.205 0.166 1
```